Structure and computed powder diffraction line list of RbH2OF (a DFT-relaxed cell (PBE, Alexandria); Cu Kα (λ = 1.5418 Å)).

Most intense lines, 2θ from 15° to 90°, in order of rising 2θ:
Position (°2θ)	intensity	index
20.57	22.6	0 0 2
22.04	20.1	2 0 0
25.95	100.0	1 1 1
30.33	51.1	2 0 2
39.49	41.6	1 1 3
41.15	44.1	3 1 1
53.36	17.4	2 2 2
62.55	23.1	2 1 5

Structure:
abc: 8.0656 4.2251 8.6347
angles: 90.00 90.00 90.00
Space group Pnma (No. 62)
Unique sites:
Rb 0.2416 0.2500 0.0345 [4 per cell]
H 0.0390 0.0608 0.7537 [8 per cell]
O 0.0129 0.2500 0.6880 [4 per cell]
F 0.0930 0.7500 0.8507 [4 per cell]

Structure and computed powder diffraction line list of SbH2SO3F7 (a DFT-relaxed cell (PBE, Alexandria); Cu Kα (λ = 1.5418 Å)).

Most intense lines, 2θ from 15° to 90°, in order of rising 2θ:
Position (°2θ)	intensity	index
16.07	20.0	1 0 0
16.73	25.3	1 0 -2
20.74	100.0	1 2 0
20.86	40.0	0 0 2
21.27	69.3	1 2 -2
24.67	22.3	0 2 2
25.49	29.1	2 0 -2
26.22	20.8	0 4 0

Structure:
abc: 6.9959 13.5933 10.8024
angles: 90.00 127.95 90.00
Space group P2_1/c (No. 14)
Unique sites:
Sb 0.0097 0.0179 0.2642 [4 per cell]
H 0.2131 0.6589 0.0100 [4 per cell]
H 0.4372 0.0822 0.7856 [4 per cell]
S 0.4937 0.2398 0.8287 [4 per cell]
O 0.2846 0.7005 0.1126 [4 per cell]
O 0.3946 0.2451 0.9096 [4 per cell]
O 0.4503 0.6399 0.7015 [4 per cell]
F 0.0987 0.6133 0.8655 [4 per cell]
F 0.1054 0.6411 0.3398 [4 per cell]
F 0.1174 0.0501 0.9253 [4 per cell]
F 0.1220 0.0736 0.4597 [4 per cell]
F 0.3067 0.0024 0.7795 [4 per cell]
F 0.3094 0.2187 0.1593 [4 per cell]
F 0.3212 0.0307 0.3145 [4 per cell]

Structure and computed powder diffraction line list of Sn2H2SO5F2 (a DFT-relaxed cell (PBE, Alexandria); Cu Kα (λ = 1.5418 Å)).

Most intense lines, 2θ from 15° to 90°, in order of rising 2θ:
Position (°2θ)	intensity	index
23.50	39.8	0 3 1
24.76	89.6	2 0 0
26.61	100.0	1 3 1
27.10	37.7	1 0 -2
27.26	35.6	1 0 2
29.60	54.1	0 4 1
42.08	47.8	0 3 3
49.88	28.4	1 7 0

Structure:
abc: 7.1928 13.2321 7.3738
angles: 90.00 90.43 90.00
Space group P2_1/c (No. 14)
Unique sites:
Sn 0.2028 0.1817 0.1523 [4 per cell]
Sn 0.2664 0.0221 0.6649 [4 per cell]
H 0.4184 0.6781 0.4534 [4 per cell]
H 0.4243 0.7371 0.2616 [4 per cell]
S 0.2593 0.5788 0.7332 [4 per cell]
O 0.0856 0.5822 0.8379 [4 per cell]
O 0.2564 0.0040 0.0949 [4 per cell]
O 0.2948 0.6768 0.6394 [4 per cell]
O 0.4156 0.5593 0.8681 [4 per cell]
O 0.4862 0.6825 0.3343 [4 per cell]
F 0.2468 0.1395 0.4611 [4 per cell]
F 0.2777 0.1626 0.8352 [4 per cell]

Repeat the first record exactly.
Structure and computed powder diffraction line list of RbH2OF (a DFT-relaxed cell (PBE, Alexandria); Cu Kα (λ = 1.5418 Å)).

Most intense lines, 2θ from 15° to 90°, in order of rising 2θ:
Position (°2θ)	intensity	index
20.57	22.6	0 0 2
22.04	20.1	2 0 0
25.95	100.0	1 1 1
30.33	51.1	2 0 2
39.49	41.6	1 1 3
41.15	44.1	3 1 1
53.36	17.4	2 2 2
62.55	23.1	2 1 5

Structure:
abc: 8.0656 4.2251 8.6347
angles: 90.00 90.00 90.00
Space group Pnma (No. 62)
Unique sites:
Rb 0.2416 0.2500 0.0345 [4 per cell]
H 0.0390 0.0608 0.7537 [8 per cell]
O 0.0129 0.2500 0.6880 [4 per cell]
F 0.0930 0.7500 0.8507 [4 per cell]